Simulated X-ray powder pattern of Dy3GaCoSe7 for CuKα, from a structure optimized by DFT (PBE).
No peak broadening, texture or thermal motion is included.

Most intense lines, 2θ = 5–70°, in order of falling intensity:
| 2θ (°) | I_rel |
| --- | --- |
| 24.79 | 100 |
| 36.09 | 82 |
| 34.57 | 81 |
| 34.12 | 74 |
| 30.70 | 66 |
| 46.95 | 51 |
| 39.15 | 46 |
| 40.19 | 35 |
| 44.28 | 33 |
| 17.09 | 32 |

Cell and atoms:
```
data_Dy3GaCoSe7
_chemical_formula_sum 'Dy6 Ga2 Co2 Se14'
_symmetry_space_group_name_H-M 'P 1'
_symmetry_Int_Tables_number 1
_cell_length_a 9.955
_cell_length_b 9.955
_cell_length_c 6.498
_cell_angle_alpha 90.00
_cell_angle_beta 90.00
_cell_angle_gamma 120.00
loop_
_symmetry_equiv_pos_as_xyz
'x,y,z'
loop_
_atom_site_label
_atom_site_fract_x
_atom_site_fract_y
_atom_site_fract_z
_atom_site_occupancy
Dy1 0.159 0.373 0.000 1
Dy2 0.214 0.841 0.000 1
Dy3 0.373 0.214 0.500 1
Dy4 0.627 0.786 0.000 1
Dy5 0.786 0.159 0.500 1
Dy6 0.841 0.627 0.500 1
Ga1 0.333 0.667 0.423 1
Ga2 0.667 0.333 0.923 1
Co1 0.000 0.000 0.344 1
Co2 0.000 0.000 0.844 1
Se1 0.081 0.562 0.267 1
Se2 0.100 0.226 0.598 1
Se3 0.127 0.900 0.598 1
Se4 0.226 0.127 0.098 1
Se5 0.333 0.667 0.793 1
Se6 0.438 0.519 0.267 1
Se7 0.481 0.919 0.267 1
Se8 0.519 0.081 0.767 1
Se9 0.562 0.481 0.767 1
Se10 0.667 0.333 0.293 1
Se11 0.774 0.873 0.598 1
Se12 0.873 0.100 0.098 1
Se13 0.900 0.774 0.098 1
Se14 0.919 0.438 0.767 1
```

---

Simulated X-ray powder pattern of Al3Cd2 for CuKα, from a structure optimized by DFT (PBE).
No peak broadening, texture or thermal motion is included.

Most intense lines, 2θ = 5–70°, in order of falling intensity:
| 2θ (°) | I_rel |
| --- | --- |
| 32.30 | 100 |
| 31.57 | 88 |
| 13.00 | 82 |
| 41.06 | 77 |
| 36.97 | 62 |
| 37.77 | 60 |
| 41.63 | 53 |
| 36.49 | 51 |
| 39.20 | 45 |
| 22.01 | 43 |

Cell and atoms:
```
data_Al3Cd2
_chemical_formula_sum 'Al6 Cd4'
_symmetry_space_group_name_H-M 'P 1'
_symmetry_Int_Tables_number 1
_cell_length_a 2.979
_cell_length_b 6.934
_cell_length_c 9.856
_cell_angle_alpha 91.32
_cell_angle_beta 90.43
_cell_angle_gamma 100.83
loop_
_symmetry_equiv_pos_as_xyz
'x,y,z'
loop_
_atom_site_label
_atom_site_fract_x
_atom_site_fract_y
_atom_site_fract_z
_atom_site_occupancy
Al1 0.000 0.000 0.000 1
Al2 0.021 0.053 0.705 1
Al3 0.412 0.827 0.519 1
Al4 0.434 0.881 0.224 1
Al5 0.638 0.297 0.882 1
Al6 0.796 0.584 0.342 1
Cd1 0.092 0.192 0.382 1
Cd2 0.217 0.441 0.112 1
Cd3 0.347 0.689 0.842 1
Cd4 0.721 0.440 0.612 1
```

---

Simulated X-ray powder pattern of Ag2BiCl5 for CuKα, from a structure optimized by DFT (PBE).
No peak broadening, texture or thermal motion is included.

Most intense lines, 2θ = 5–70°, in order of falling intensity:
| 2θ (°) | I_rel |
| --- | --- |
| 24.85 | 100 |
| 19.36 | 99 |
| 25.91 | 81 |
| 14.35 | 71 |
| 21.65 | 68 |
| 39.10 | 61 |
| 31.36 | 59 |
| 43.91 | 56 |
| 37.79 | 56 |
| 38.50 | 54 |

Cell and atoms:
```
data_Ag2BiCl5
_chemical_formula_sum 'Ag4 Bi2 Cl10'
_symmetry_space_group_name_H-M 'P 1'
_symmetry_Int_Tables_number 1
_cell_length_a 7.554
_cell_length_b 7.554
_cell_length_c 9.939
_cell_angle_alpha 108.41
_cell_angle_beta 108.41
_cell_angle_gamma 57.68
loop_
_symmetry_equiv_pos_as_xyz
'x,y,z'
loop_
_atom_site_label
_atom_site_fract_x
_atom_site_fract_y
_atom_site_fract_z
_atom_site_occupancy
Ag1 0.033 0.967 0.500 1
Ag2 0.219 0.286 0.893 1
Ag3 0.286 0.219 0.393 1
Ag4 0.967 0.033 0.000 1
Bi1 0.626 0.627 0.696 1
Bi2 0.627 0.626 0.196 1
Cl1 0.036 0.378 0.142 1
Cl2 0.219 0.872 0.250 1
Cl3 0.286 0.565 0.554 1
Cl4 0.378 0.036 0.642 1
Cl5 0.454 0.799 0.946 1
Cl6 0.565 0.286 0.054 1
Cl7 0.688 0.967 0.338 1
Cl8 0.799 0.454 0.446 1
Cl9 0.872 0.219 0.750 1
Cl10 0.967 0.688 0.838 1
```

---

Simulated X-ray powder pattern of NpTiOs for CuKα, from a structure optimized by DFT (PBE).
No peak broadening, texture or thermal motion is included.

Most intense lines, 2θ = 5–70°, in order of falling intensity:
| 2θ (°) | I_rel |
| --- | --- |
| 31.12 | 100 |
| 42.92 | 57 |
| 15.66 | 39 |
| 41.18 | 31 |
| 34.98 | 28 |
| 44.98 | 21 |
| 63.56 | 18 |
| 52.48 | 17 |
| 55.35 | 16 |
| 43.91 | 13 |

Cell and atoms:
```
data_NpTiOs
_chemical_formula_sum 'Np2 Ti2 Os2'
_symmetry_space_group_name_H-M 'P 1'
_symmetry_Int_Tables_number 1
_cell_length_a 6.636
_cell_length_b 6.348
_cell_length_c 4.505
_cell_angle_alpha 73.17
_cell_angle_beta 66.30
_cell_angle_gamma 40.53
loop_
_symmetry_equiv_pos_as_xyz
'x,y,z'
loop_
_atom_site_label
_atom_site_fract_x
_atom_site_fract_y
_atom_site_fract_z
_atom_site_occupancy
Np1 0.170 0.830 0.170 1
Np2 0.830 0.170 0.830 1
Ti1 0.250 0.250 0.250 1
Ti2 0.750 0.750 0.750 1
Os1 0.372 0.372 0.628 1
Os2 0.628 0.628 0.372 1
```

---

Simulated X-ray powder pattern of Cs2TlI3Br for CuKα, from a structure optimized by DFT (PBE).
No peak broadening, texture or thermal motion is included.

Most intense lines, 2θ = 5–70°, in order of falling intensity:
| 2θ (°) | I_rel |
| --- | --- |
| 27.17 | 100 |
| 20.87 | 95 |
| 8.98 | 70 |
| 29.15 | 70 |
| 40.27 | 70 |
| 30.22 | 63 |
| 27.70 | 58 |
| 51.14 | 51 |
| 42.48 | 51 |
| 41.07 | 40 |

Cell and atoms:
```
data_Cs2TlI3Br
_chemical_formula_sum 'Cs4 Tl2 I6 Br2'
_symmetry_space_group_name_H-M 'P 1'
_symmetry_Int_Tables_number 1
_cell_length_a 5.915
_cell_length_b 6.128
_cell_length_c 19.704
_cell_angle_alpha 90.00
_cell_angle_beta 90.00
_cell_angle_gamma 90.00
loop_
_symmetry_equiv_pos_as_xyz
'x,y,z'
loop_
_atom_site_label
_atom_site_fract_x
_atom_site_fract_y
_atom_site_fract_z
_atom_site_occupancy
Cs1 0.000 0.000 0.139 1
Cs2 0.000 0.000 0.861 1
Cs3 0.500 0.500 0.361 1
Cs4 0.500 0.500 0.639 1
Tl1 0.000 0.000 0.500 1
Tl2 0.500 0.500 0.000 1
I1 0.000 0.000 0.336 1
I2 0.000 0.000 0.664 1
I3 0.000 0.500 0.500 1
I4 0.500 0.000 0.000 1
I5 0.500 0.500 0.164 1
I6 0.500 0.500 0.836 1
Br1 0.000 0.500 0.000 1
Br2 0.500 0.000 0.500 1
```

---

Simulated X-ray powder pattern of Tm3In4Hg2 for CuKα, from a structure optimized by DFT (PBE).
No peak broadening, texture or thermal motion is included.

Most intense lines, 2θ = 5–70°, in order of falling intensity:
| 2θ (°) | I_rel |
| --- | --- |
| 30.83 | 100 |
| 33.73 | 96 |
| 40.73 | 71 |
| 35.78 | 37 |
| 64.71 | 29 |
| 58.96 | 26 |
| 41.34 | 26 |
| 55.29 | 22 |
| 49.50 | 13 |
| 64.27 | 13 |

Cell and atoms:
```
data_Tm3In4Hg2
_chemical_formula_sum 'Tm3 In4 Hg2'
_symmetry_space_group_name_H-M 'P 1'
_symmetry_Int_Tables_number 1
_cell_length_a 7.666
_cell_length_b 7.666
_cell_length_c 4.435
_cell_angle_alpha 90.00
_cell_angle_beta 90.00
_cell_angle_gamma 120.00
loop_
_symmetry_equiv_pos_as_xyz
'x,y,z'
loop_
_atom_site_label
_atom_site_fract_x
_atom_site_fract_y
_atom_site_fract_z
_atom_site_occupancy
Tm1 0.000 0.411 0.000 1
Tm2 0.411 0.000 0.000 1
Tm3 0.589 0.589 0.000 1
In1 0.000 0.000 0.000 1
In2 0.000 0.740 0.500 1
In3 0.260 0.260 0.500 1
In4 0.740 0.000 0.500 1
Hg1 0.333 0.667 0.500 1
Hg2 0.667 0.333 0.500 1
```

---

Simulated X-ray powder pattern of Dy3ScCu4 for CuKα, from a structure optimized by DFT (PBE).
No peak broadening, texture or thermal motion is included.

Most intense lines, 2θ = 5–70°, in order of falling intensity:
| 2θ (°) | I_rel |
| --- | --- |
| 37.27 | 100 |
| 37.13 | 53 |
| 67.02 | 34 |
| 53.51 | 18 |
| 6.50 | 15 |
| 67.30 | 15 |
| 26.02 | 13 |
| 32.78 | 9 |
| 53.95 | 8 |
| 26.22 | 7 |

Cell and atoms:
```
data_Dy3ScCu4
_chemical_formula_sum 'Dy3 Sc1 Cu4'
_symmetry_space_group_name_H-M 'P 1'
_symmetry_Int_Tables_number 1
_cell_length_a 3.425
_cell_length_b 3.425
_cell_length_c 13.597
_cell_angle_alpha 90.00
_cell_angle_beta 90.00
_cell_angle_gamma 90.00
loop_
_symmetry_equiv_pos_as_xyz
'x,y,z'
loop_
_atom_site_label
_atom_site_fract_x
_atom_site_fract_y
_atom_site_fract_z
_atom_site_occupancy
Dy1 0.000 0.000 0.000 1
Dy2 0.000 0.000 0.257 1
Dy3 0.000 0.000 0.743 1
Sc1 0.000 0.000 0.500 1
Cu1 0.500 0.500 0.127 1
Cu2 0.500 0.500 0.393 1
Cu3 0.500 0.500 0.607 1
Cu4 0.500 0.500 0.873 1
```

---

Simulated X-ray powder pattern of NpTiGe for CuKα, from a structure optimized by DFT (PBE).
No peak broadening, texture or thermal motion is included.

Most intense lines, 2θ = 5–70°, in order of falling intensity:
| 2θ (°) | I_rel |
| --- | --- |
| 28.36 | 100 |
| 38.19 | 53 |
| 33.42 | 40 |
| 28.16 | 26 |
| 35.71 | 23 |
| 49.96 | 22 |
| 50.33 | 21 |
| 56.68 | 18 |
| 17.64 | 17 |
| 55.46 | 12 |

Cell and atoms:
```
data_NpTiGe
_chemical_formula_sum 'Np4 Ti4 Ge4'
_symmetry_space_group_name_H-M 'P 1'
_symmetry_Int_Tables_number 1
_cell_length_a 5.944
_cell_length_b 5.944
_cell_length_c 7.774
_cell_angle_alpha 90.00
_cell_angle_beta 90.00
_cell_angle_gamma 115.56
loop_
_symmetry_equiv_pos_as_xyz
'x,y,z'
loop_
_atom_site_label
_atom_site_fract_x
_atom_site_fract_y
_atom_site_fract_z
_atom_site_occupancy
Np1 0.228 0.772 0.873 1
Np2 0.272 0.728 0.373 1
Np3 0.728 0.272 0.627 1
Np4 0.772 0.228 0.127 1
Ti1 0.053 0.947 0.201 1
Ti2 0.447 0.553 0.701 1
Ti3 0.553 0.447 0.299 1
Ti4 0.947 0.053 0.799 1
Ge1 0.195 0.195 0.500 1
Ge2 0.305 0.305 0.000 1
Ge3 0.695 0.695 0.000 1
Ge4 0.805 0.805 0.500 1
```